Starting from a DFT-relaxed cell (GGA-PBE, the Materials Project), the powder diffraction line list of Na2SmPCO7 was calculated for λ = 1.5418 Å (Cu Kα).
Peak positions follow from Bragg's law for the DFT cell and can differ from measured ones.

Main lines, most intense first (2θ from 10° to 90°):
15.6°, rel. 100, hkl 0 1 1
21.2°, rel. 92, hkl 1 1 0
25.0°, rel. 76, hkl 0 2 0
25.7°, rel. 75, hkl 1 0 2
25.4°, rel. 55, hkl 1 0 -2
42.0°, rel. 53, hkl 1 3 0

Cell and atoms:
```
data_Na2SmPCO7
_chemical_formula_sum 'Na4 Sm2 P2 C2 O14'
_cell_length_a 5.186
_cell_length_b 7.112
_cell_length_c 9.414
_cell_angle_alpha 90.00
_cell_angle_beta 90.82
_cell_angle_gamma 90.00
_symmetry_space_group_name_H-M 'P 1 21/m 1'
_symmetry_Int_Tables_number 11
loop_
_symmetry_equiv_pos_as_xyz
'x,y,z'
'-x,-y,-z'
'-x,y+1/2,-z'
'x,-y+1/2,z'
loop_
_atom_site_label
_atom_site_fract_x
_atom_site_fract_y
_atom_site_fract_z
Na1 0.229 0.005 0.206
Sm1 0.236 0.250 0.623
P1 0.293 0.750 0.587
C1 0.269 0.250 0.924
O1 0.043 0.250 0.860
O2 0.168 0.571 0.650
O3 0.251 0.750 0.420
O4 0.299 0.250 0.057
O5 0.409 0.250 0.389
O6 0.468 0.250 0.837
```

Starting from a DFT-relaxed cell (GGA-PBE, the Materials Project), the powder diffraction line list of Nd2Si2O7 was calculated for λ = 1.5418 Å (Cu Kα).
Peak positions follow from Bragg's law for the DFT cell and can differ from measured ones.

Main lines, most intense first (2θ from 10° to 90°):
27.1°, rel. 100, hkl 0 2 1
29.1°, rel. 59, hkl 0 0 4
26.6°, rel. 54, hkl 1 1 2
27.0°, rel. 47, hkl 2 0 -2
30.1°, rel. 42, hkl 2 1 -2
45.6°, rel. 40, hkl 0 2 5

Cell and atoms:
```
data_Nd2Si2O7
_chemical_formula_sum 'Nd8 Si8 O28'
_cell_length_a 6.737
_cell_length_b 6.823
_cell_length_c 12.952
_cell_angle_alpha 90.00
_cell_angle_beta 108.89
_cell_angle_gamma 90.00
_symmetry_space_group_name_H-M 'P 1 21/c 1'
_symmetry_Int_Tables_number 14
loop_
_symmetry_equiv_pos_as_xyz
'x,y,z'
'-x,-y,-z'
'-x,y+1/2,-z+1/2'
'x,-y+1/2,z+1/2'
loop_
_atom_site_label
_atom_site_fract_x
_atom_site_fract_y
_atom_site_fract_z
Nd1 0.029 0.108 0.361
Nd2 0.356 0.178 0.155
Si1 0.206 0.579 0.392
Si2 0.396 0.672 0.086
O1 0.001 0.720 0.335
O2 0.163 0.105 0.961
O3 0.225 0.010 0.550
O4 0.292 0.513 0.292
O5 0.299 0.674 0.654
O6 0.377 0.088 0.342
O7 0.402 0.719 0.471
```

Starting from a DFT-relaxed cell (GGA-PBE, the Materials Project), the powder diffraction line list of VFeP was calculated for λ = 1.5418 Å (Cu Kα).
Peak positions follow from Bragg's law for the DFT cell and can differ from measured ones.

Main lines, most intense first (2θ from 10° to 90°):
40.3°, rel. 100, hkl 1 1 2
42.4°, rel. 81, hkl 2 1 1
48.3°, rel. 75, hkl 0 1 3
40.1°, rel. 46, hkl 2 1 0
52.4°, rel. 44, hkl 0 2 0
43.3°, rel. 31, hkl 1 0 3

Cell and atoms:
```
data_VFeP
_chemical_formula_sum 'V4 Fe4 P4'
_cell_length_a 5.888
_cell_length_b 3.493
_cell_length_c 6.700
_cell_angle_alpha 90.00
_cell_angle_beta 90.00
_cell_angle_gamma 90.00
_symmetry_space_group_name_H-M 'P n m a'
_symmetry_Int_Tables_number 62
loop_
_symmetry_equiv_pos_as_xyz
'x,y,z'
'-x,-y,-z'
'-x+1/2,-y,z+1/2'
'x+1/2,y,-z+1/2'
'x+1/2,-y+1/2,-z+1/2'
'-x+1/2,y+1/2,z+1/2'
'-x,y+1/2,-z'
'x,-y+1/2,z'
loop_
_atom_site_label
_atom_site_fract_x
_atom_site_fract_y
_atom_site_fract_z
V1 0.026 0.250 0.174
Fe1 0.143 0.250 0.562
P1 0.230 0.750 0.375
```

Starting from a DFT-relaxed cell (GGA-PBE, the Materials Project), the powder diffraction line list of KNdC2O6 was calculated for λ = 1.5418 Å (Cu Kα).
Peak positions follow from Bragg's law for the DFT cell and can differ from measured ones.

Main lines, most intense first (2θ from 10° to 90°):
27.4°, rel. 100, hkl 2 0 2
13.5°, rel. 80, hkl 0 1 0
39.0°, rel. 53, hkl 2 2 2
27.2°, rel. 47, hkl 0 2 0
22.6°, rel. 45, hkl 2 1 0
44.5°, rel. 44, hkl 4 1 2

Cell and atoms:
```
data_KNdC2O6
_chemical_formula_sum 'K4 Nd4 C8 O24'
_cell_length_a 9.833
_cell_length_b 6.553
_cell_length_c 8.687
_cell_angle_alpha 90.00
_cell_angle_beta 90.00
_cell_angle_gamma 90.00
_symmetry_space_group_name_H-M 'P m n 21'
_symmetry_Int_Tables_number 31
loop_
_symmetry_equiv_pos_as_xyz
'x,y,z'
'-x+1/2,-y,z+1/2'
'-x,y,z'
'x+1/2,-y,z+1/2'
loop_
_atom_site_label
_atom_site_fract_x
_atom_site_fract_y
_atom_site_fract_z
K1 0.241 0.034 0.000
Nd1 0.000 0.466 0.761
Nd2 0.000 0.532 0.259
C1 0.000 0.909 0.764
C2 0.000 0.975 0.251
C3 0.250 0.467 0.567
O1 0.000 0.106 0.775
O2 0.000 0.172 0.248
O3 0.000 0.869 0.124
O4 0.000 0.876 0.382
O5 0.114 0.807 0.759
O6 0.133 0.475 0.501
O7 0.138 0.462 0.009
O8 0.246 0.611 0.206
```

Starting from a DFT-relaxed cell (GGA-PBE, the Materials Project), the powder diffraction line list of LiCu4P3O12 was calculated for λ = 1.5418 Å (Cu Kα).
Peak positions follow from Bragg's law for the DFT cell and can differ from measured ones.

Main lines, most intense first (2θ from 10° to 90°):
33.2°, rel. 100, hkl 2 4 0
10.9°, rel. 46, hkl 1 1 0
26.2°, rel. 46, hkl 3 1 0
30.8°, rel. 37, hkl 3 1 -2
33.9°, rel. 35, hkl 4 0 0
31.5°, rel. 31, hkl 2 2 -2

Cell and atoms:
```
data_LiCu4P3O12
_chemical_formula_sum 'Li4 Cu16 P12 O48'
_cell_length_a 11.949
_cell_length_b 12.525
_cell_length_c 6.387
_cell_angle_alpha 90.00
_cell_angle_beta 117.58
_cell_angle_gamma 90.00
_symmetry_space_group_name_H-M 'C 1 c 1'
_symmetry_Int_Tables_number 9
loop_
_symmetry_equiv_pos_as_xyz
'x,y,z'
'x,-y,z+1/2'
'x+1/2,y+1/2,z'
'x+1/2,-y+1/2,z+1/2'
loop_
_atom_site_label
_atom_site_fract_x
_atom_site_fract_y
_atom_site_fract_z
Li1 0.000 0.024 0.000
Cu1 0.000 0.250 0.503
Cu2 0.220 0.158 0.389
Cu3 0.278 0.343 0.109
Cu4 0.497 0.002 0.756
P1 0.232 0.105 0.890
P2 0.267 0.395 0.612
P3 0.499 0.204 0.502
O1 0.043 0.223 0.223
O2 0.093 0.378 0.980
O3 0.124 0.411 0.535
O4 0.154 0.001 0.856
O5 0.170 0.166 0.652
O6 0.217 0.179 0.071
O7 0.282 0.323 0.429
O8 0.330 0.333 0.851
O9 0.342 0.500 0.146
O10 0.375 0.086 0.971
O11 0.403 0.124 0.527
O12 0.456 0.276 0.281
```

Starting from a DFT-relaxed cell (GGA-PBE, the Materials Project), the powder diffraction line list of LiTiCl3 was calculated for λ = 1.5418 Å (Cu Kα).
Peak positions follow from Bragg's law for the DFT cell and can differ from measured ones.

Main lines, most intense first (2θ from 10° to 90°):
35.4°, rel. 100, hkl 2 2 2
13.8°, rel. 89, hkl 2 0 -1
14.6°, rel. 60, hkl 2 0 0
34.3°, rel. 56, hkl 4 0 -4
15.0°, rel. 47, hkl 1 1 -1
30.3°, rel. 34, hkl 2 2 -2

Cell and atoms:
```
data_LiTiCl3
_chemical_formula_sum 'Li8 Ti8 Cl24'
_cell_length_a 13.054
_cell_length_b 7.156
_cell_length_c 12.345
_cell_angle_alpha 90.00
_cell_angle_beta 111.19
_cell_angle_gamma 90.00
_symmetry_space_group_name_H-M 'C 1 m 1'
_symmetry_Int_Tables_number 8
loop_
_symmetry_equiv_pos_as_xyz
'x,y,z'
'x,-y,z'
'x+1/2,y+1/2,z'
'x+1/2,-y+1/2,z'
loop_
_atom_site_label
_atom_site_fract_x
_atom_site_fract_y
_atom_site_fract_z
Li1 0.000 0.000 0.000
Li2 0.009 0.500 0.486
Li3 0.070 0.000 0.666
Li4 0.105 0.500 0.175
Ti1 0.238 0.000 0.274
Ti2 0.255 0.195 0.471
Ti3 0.289 0.500 0.750
Cl1 0.104 0.000 0.361
Cl2 0.141 0.223 0.111
Cl3 0.142 0.500 0.374
Cl4 0.151 0.261 0.616
Cl5 0.374 0.236 0.359
Cl6 0.375 0.500 0.599
Cl7 0.377 0.263 0.882
Cl8 0.389 0.000 0.611
```

Starting from a DFT-relaxed cell (GGA-PBE, the Materials Project), the powder diffraction line list of Mg3AlO4 was calculated for λ = 1.5418 Å (Cu Kα).
Peak positions follow from Bragg's law for the DFT cell and can differ from measured ones.

Main lines, most intense first (2θ from 10° to 90°):
41.7°, rel. 100, hkl 2 0 0
60.5°, rel. 57, hkl 2 2 0
76.2°, rel. 17, hkl 2 2 2
35.9°, rel. 11, hkl 1 1 1
72.4°, rel. 8, hkl 3 1 1

Cell and atoms:
```
data_Mg3AlO4
_chemical_formula_sum 'Mg3 Al1 O4'
_cell_length_a 4.327
_cell_length_b 4.327
_cell_length_c 4.327
_cell_angle_alpha 90.00
_cell_angle_beta 90.00
_cell_angle_gamma 90.00
_symmetry_space_group_name_H-M 'P m -3 m'
_symmetry_Int_Tables_number 221
_symmetry_space_group_name_Hall '-P 4 2 3'
loop_
_atom_site_label
_atom_site_fract_x
_atom_site_fract_y
_atom_site_fract_z
Mg1 0.000 0.000 0.500
Al1 0.500 0.500 0.500
O1 0.000 0.000 0.000
O2 0.000 0.500 0.500
```